# 1
TaFe12: calculated X-ray powder pattern (a wavelength of 1.5418 Å), based on a DFT-relaxed cell (PBE, Alexandria).
Intensities are scaled so that the largest is 100.

Crystal structure
Cell: 6.4486 6.4486 6.4486 Å, 60.00 60.00 60.00°
Element x y z (fractional)
Ta (0.0000, 0.0000, 0.0000)
Fe (0.1552, 0.5000, 0.5000)
Fe (0.1552, 0.5000, 0.8448)
Fe (0.1552, 0.8448, 0.5000)
Fe (0.5000, 0.1552, 0.5000)
Fe (0.5000, 0.1552, 0.8448)
Fe (0.5000, 0.5000, 0.1552)
Fe (0.5000, 0.5000, 0.8448)
Fe (0.5000, 0.8448, 0.1552)
Fe (0.5000, 0.8448, 0.5000)
Fe (0.8448, 0.1552, 0.5000)
Fe (0.8448, 0.5000, 0.1552)
Fe (0.8448, 0.5000, 0.5000)

Main lines, by angle (10 to 80 degrees two-theta):
- 19.5°, rel. 16
- 32.6°, rel. 100
- 34.1°, rel. 40
- 43.2°, rel. 10
- 48.9°, rel. 32
- 52.1°, rel. 18
- 60.0°, rel. 37
- 61.0°, rel. 36

=====

# 2
Pu6PdRh5: calculated X-ray powder pattern (a wavelength of 1.5418 Å), based on a DFT-relaxed cell (PBE, Alexandria).
Intensities are scaled so that the largest is 100.

Crystal structure
Cell: 8.7545 8.7545 8.7545 Å, 146.92 138.23 54.28°
Element x y z (fractional)
Pu (0.0804, 0.3324, 0.7481)
Pu (0.2457, 0.0000, 0.2457)
Pu (0.4157, 0.6676, 0.7481)
Pu (0.5843, 0.3324, 0.2519)
Pu (0.7543, 0.0000, 0.7543)
Pu (0.9196, 0.6676, 0.2519)
Pd (0.5000, 0.5000, 0.0000)
Rh (0.0000, 0.5000, 0.5000)
Rh (0.1709, 0.1709, 0.0000)
Rh (0.3302, 0.8302, 0.5000)
Rh (0.6698, 0.1698, 0.5000)
Rh (0.8291, 0.8291, 0.0000)

Main lines, by angle (10 to 80 degrees two-theta):
- 24.8°, rel. 21
- 34.5°, rel. 33
- 36.0°, rel. 29
- 38.2°, rel. 100
- 50.8°, rel. 22
- 59.3°, rel. 11
- 64.3°, rel. 22
- 66.2°, rel. 20

=====

# 3
CrHg3: calculated X-ray powder pattern (a wavelength of 1.5418 Å), based on a DFT-relaxed cell (PBE, Alexandria).
Intensities are scaled so that the largest is 100.

Crystal structure
Cell: 3.3451 3.3451 9.3424 Å, 90.00 90.00 120.00°
Element x y z (fractional)
Cr (0.0000, 0.0000, 0.0000)
Hg (0.0000, 0.0000, 0.5000)
Hg (0.3333, 0.6667, 0.2285)
Hg (0.3333, 0.6667, 0.7715)

Main lines, by angle (10 to 80 degrees two-theta):
- 30.9°, rel. 31
- 32.4°, rel. 14
- 36.5°, rel. 100
- 38.5°, rel. 16
- 50.2°, rel. 12
- 54.9°, rel. 21
- 67.7°, rel. 17
- 69.1°, rel. 18

=====

# 4
NbCoRu: calculated X-ray powder pattern (a wavelength of 1.5418 Å), based on a DFT-relaxed cell (PBE, Alexandria).
Intensities are scaled so that the largest is 100.

Crystal structure
Cell: 4.7980 4.7980 4.7070 Å, 100.53 100.53 121.38°
Element x y z (fractional)
Nb (0.1106, 0.8894, 0.7500)
Nb (0.8894, 0.1106, 0.2500)
Co (0.2548, 0.7452, 0.2500)
Co (0.7452, 0.2548, 0.7500)
Ru (0.4275, 0.5725, 0.7500)
Ru (0.5725, 0.4275, 0.2500)

Main lines, by angle (10 to 80 degrees two-theta):
- 25.2°, rel. 11
- 39.7°, rel. 100
- 41.4°, rel. 100
- 46.6°, rel. 35
- 47.5°, rel. 59
- 68.7°, rel. 19
- 68.8°, rel. 19
- 71.7°, rel. 10

=====

# 5
TaCdBF10: calculated X-ray powder pattern (a wavelength of 1.5418 Å), based on a DFT-relaxed cell (PBE, Alexandria).
Intensities are scaled so that the largest is 100.

Crystal structure
Cell: 8.3883 9.5228 9.1818 Å, 90.00 94.61 90.00°
Element x y z (fractional)
Ta (0.1667, 0.0700, 0.2650)
Ta (0.1667, 0.4300, 0.7650)
Ta (0.8333, 0.5700, 0.2350)
Ta (0.8333, 0.9300, 0.7350)
Cd (0.3233, 0.0221, 0.7116)
Cd (0.3233, 0.4779, 0.2116)
Cd (0.6767, 0.5221, 0.7884)
Cd (0.6767, 0.9779, 0.2884)
B (0.4292, 0.7261, 0.4935)
B (0.4292, 0.7739, 0.9935)
B (0.5708, 0.2261, 0.0065)
B (0.5708, 0.2739, 0.5065)
F (0.0618, 0.5742, 0.2195)
F (0.0618, 0.9258, 0.7195)
F (0.1452, 0.0801, 0.0600)
F (0.1452, 0.4199, 0.5600)
F (0.1614, 0.6268, 0.7674)
F (0.1614, 0.8732, 0.2674)
F (0.1826, 0.2231, 0.7660)
F (0.1826, 0.2769, 0.2660)
F (0.1945, 0.0769, 0.4801)
F (0.1945, 0.4231, 0.9801)
F (0.3285, 0.6328, 0.4079)
F (0.3285, 0.8672, 0.9079)
F (0.3329, 0.6863, 0.0746)
F (0.3329, 0.8137, 0.5746)
F (0.3992, 0.0606, 0.2698)
F (0.3992, 0.4394, 0.7698)
F (0.4644, 0.1467, 0.9122)
F (0.4644, 0.3533, 0.4122)
F (0.4819, 0.1906, 0.5991)
F (0.4819, 0.3094, 0.0991)
F (0.5181, 0.6906, 0.9009)
F (0.5181, 0.8094, 0.4009)
F (0.5356, 0.6467, 0.5878)
F (0.5356, 0.8533, 0.0878)
F (0.6008, 0.5606, 0.2302)
F (0.6008, 0.9394, 0.7302)
F (0.6671, 0.1863, 0.4254)
F (0.6671, 0.3137, 0.9254)
F (0.6715, 0.1328, 0.0921)
F (0.6715, 0.3672, 0.5921)
F (0.8055, 0.5769, 0.0199)
F (0.8055, 0.9231, 0.5199)
F (0.8174, 0.7231, 0.7340)
F (0.8174, 0.7769, 0.2340)
F (0.8386, 0.1268, 0.7326)
F (0.8386, 0.3732, 0.2326)
F (0.8548, 0.5801, 0.4400)
F (0.8548, 0.9199, 0.9400)
F (0.9382, 0.0742, 0.2805)
F (0.9382, 0.4258, 0.7805)

Main lines, by angle (10 to 80 degrees two-theta):
- 14.1°, rel. 30
- 18.6°, rel. 61
- 19.4°, rel. 98
- 23.2°, rel. 31
- 24.5°, rel. 100
- 25.9°, rel. 49
- 27.0°, rel. 57
- 30.1°, rel. 52

=====

# 6
Ag3IBrCl: calculated X-ray powder pattern (a wavelength of 1.5418 Å), based on a DFT-relaxed cell (PBE, Alexandria).
Intensities are scaled so that the largest is 100.

Crystal structure
Cell: 7.4758 7.4758 7.1315 Å, 97.66 97.66 123.03°
Element x y z (fractional)
Ag (0.1543, 0.3329, 0.0033)
Ag (0.2420, 0.7580, 0.7500)
Ag (0.3329, 0.1543, 0.5033)
Ag (0.6671, 0.8457, 0.4967)
Ag (0.7580, 0.2420, 0.2500)
Ag (0.8457, 0.6671, 0.9967)
I (0.2501, 0.7499, 0.2500)
I (0.7499, 0.2501, 0.7500)
Br (0.4391, 0.5609, 0.7500)
Br (0.5609, 0.4391, 0.2500)
Cl (0.0533, 0.9467, 0.7500)
Cl (0.9467, 0.0533, 0.2500)

Main lines, by angle (10 to 80 degrees two-theta):
- 29.2°, rel. 81
- 29.4°, rel. 81
- 31.4°, rel. 95
- 38.0°, rel. 100
- 42.2°, rel. 41
- 43.4°, rel. 52
- 52.7°, rel. 36
- 53.5°, rel. 39